No. 1
This entry pairs a crystal structure of Ac2PmIn3Pd6 with its theoretical XRD peak list. Radiation: λ = 1.5418 Å (Cu Kα). Structure: DFT lattice parameters and positions (PBE).
Peak positions follow from Bragg's law for the DFT cell and can differ from measured ones.

Crystal structure
a b c (Å): 4.427 4.427 14.672
angles (deg): 90.00 90.00 90.00
Fractional coordinates of all 12 atoms:
Ac1 0.000 0.000 0.155
Ac2 0.000 0.000 0.845
Pm1 0.000 0.000 0.500
In1 0.500 0.500 0.000
In2 0.500 0.500 0.405
In3 0.500 0.500 0.595
Pd1 0.000 0.500 0.305
Pd2 0.000 0.500 0.695
Pd3 0.500 0.000 0.305
Pd4 0.500 0.000 0.695
Pd5 0.500 0.500 0.182
Pd6 0.500 0.500 0.818

Largest 10 diffraction maxima, by angle, 2θ from 10° to 90°:
- 2θ = 12.06°, intensity 25
- 2θ = 27.17°, intensity 51
- 2θ = 28.51°, intensity 42
- 2θ = 34.00°, intensity 100
- 2θ = 36.75°, intensity 45
- 2θ = 40.76°, intensity 78
- 2θ = 42.21°, intensity 54
- 2θ = 56.03°, intensity 35
- 2θ = 59.01°, intensity 26
- 2θ = 69.89°, intensity 27

---

No. 2
This entry pairs a crystal structure of AcInPdRh with its theoretical XRD peak list. Radiation: λ = 1.5418 Å (Cu Kα). Structure: DFT lattice parameters and positions (PBE).
Peak positions follow from Bragg's law for the DFT cell and can differ from measured ones.

Crystal structure
a b c (Å): 4.642 4.642 5.711
angles (deg): 114.08 114.08 60.10
Fractional coordinates of all 4 atoms:
Ac1 0.000 0.000 0.000
In1 0.494 0.494 0.482
Pd1 0.208 0.208 0.623
Rh1 0.792 0.792 0.375

Largest 10 diffraction maxima, by angle, 2θ from 10° to 90°:
- 2θ = 22.88°, intensity 31
- 2θ = 25.08°, intensity 22
- 2θ = 32.52°, intensity 100
- 2θ = 35.65°, intensity 15
- 2θ = 37.22°, intensity 35
- 2θ = 38.78°, intensity 96
- 2θ = 51.43°, intensity 18
- 2θ = 53.64°, intensity 23
- 2θ = 66.05°, intensity 18
- 2θ = 66.25°, intensity 17

---

No. 3
This entry pairs a crystal structure of Ac3In2Si2Pd4 with its theoretical XRD peak list. Radiation: λ = 1.5418 Å (Cu Kα). Structure: DFT lattice parameters and positions (PBE).
Peak positions follow from Bragg's law for the DFT cell and can differ from measured ones.

Crystal structure
a b c (Å): 4.504 4.504 15.539
angles (deg): 90.00 90.00 120.00
Fractional coordinates of all 11 atoms:
Ac1 0.000 0.000 0.000
Ac2 0.000 0.000 0.266
Ac3 0.000 0.000 0.734
In1 0.333 0.667 0.560
In2 0.667 0.333 0.440
Si1 0.333 0.667 0.141
Si2 0.667 0.333 0.859
Pd1 0.333 0.667 0.381
Pd2 0.333 0.667 0.867
Pd3 0.667 0.333 0.133
Pd4 0.667 0.333 0.619

Largest 10 diffraction maxima, by angle, 2θ from 10° to 90°:
- 2θ = 22.80°, intensity 14
- 2θ = 23.51°, intensity 22
- 2θ = 25.55°, intensity 28
- 2θ = 28.65°, intensity 39
- 2θ = 32.53°, intensity 100
- 2θ = 40.04°, intensity 71
- 2θ = 41.87°, intensity 15
- 2θ = 52.50°, intensity 26
- 2θ = 58.37°, intensity 19
- 2θ = 68.01°, intensity 24

---

No. 4
This entry pairs a crystal structure of Ac2InSn3Pd6 with its theoretical XRD peak list. Radiation: λ = 1.5418 Å (Cu Kα). Structure: DFT lattice parameters and positions (PBE).
Peak positions follow from Bragg's law for the DFT cell and can differ from measured ones.

Crystal structure
a b c (Å): 4.275 4.275 16.950
angles (deg): 90.00 90.00 90.00
Fractional coordinates of all 12 atoms:
Ac1 0.000 0.000 0.198
Ac2 0.000 0.000 0.802
In1 0.000 0.000 0.500
Sn1 0.500 0.500 0.000
Sn2 0.500 0.500 0.309
Sn3 0.500 0.500 0.691
Pd1 0.000 0.500 0.401
Pd2 0.000 0.500 0.599
Pd3 0.500 0.000 0.401
Pd4 0.500 0.000 0.599
Pd5 0.500 0.500 0.151
Pd6 0.500 0.500 0.849

Largest 10 diffraction maxima, by angle, 2θ from 10° to 90°:
- 2θ = 26.14°, intensity 100
- 2θ = 29.55°, intensity 49
- 2θ = 30.03°, intensity 55
- 2θ = 31.42°, intensity 42
- 2θ = 36.51°, intensity 34
- 2θ = 42.29°, intensity 93
- 2θ = 42.93°, intensity 59
- 2θ = 43.87°, intensity 80
- 2θ = 50.42°, intensity 54
- 2θ = 61.83°, intensity 40

---

Number 1 is which compound? Ac2PmIn3Pd6